The following is a theoretical powder diffraction line list of Bi2O3. It was derived from a structure optimized by DFT (GGA-PBE), using Cu Kα, 1.54184 Å.

Main lines, most intense first (2θ = 10–80°):
2θ/deg	I/Imax	h k l
27.0	100.0	2 2 2
53.2	47.3	6 2 2
44.9	43.9	4 4 0
31.3	42.1	4 0 0
72.1	19.2	6 6 2
74.3	17.1	8 4 0
55.8	12.8	4 4 4
65.4	6.9	8 0 0
13.4	2.8	1 1 1
34.2	2.0	3 3 1

Structural model:
Cell lengths 11.4233, 11.4233, 11.4233 Å; angles 90.00, 90.00, 90.00 degrees
Space group Fd-3m (No. 227, origin choice 2)
Inequivalent atoms, fractional coordinates:
Bi 0.0047 0.0047 0.2453 x32
O 0.0760 0.3750 0.3750 x48